(1)
# Ac8Co4H
Theoretical powder diffraction line list, Cu Kα X-rays. Input: a PBE-relaxed structure.

Atomic structure:
```
data_Ac8Co4H
_chemical_formula_sum 'Ac8 Co4 H1'
_cell_length_a 10.465
_cell_length_b 10.465
_cell_length_c 13.857
_cell_angle_alpha 130.19
_cell_angle_beta 130.19
_cell_angle_gamma 23.29
_space_group_name_H-M_alt 'P 1'
_space_group_IT_number 1
loop_
_space_group_symop_operation_xyz
'x,y,z'
loop_
_atom_site_label
_atom_site_fract_x
_atom_site_fract_y
_atom_site_fract_z
Ac1 0.000 0.000 0.000
Ac2 0.023 0.023 0.742
Ac3 0.299 0.299 0.930
Ac4 0.329 0.329 0.673
Ac5 0.374 0.374 0.418
Ac6 0.625 0.625 0.609
Ac7 0.704 0.704 0.072
Ac8 0.953 0.953 0.269
Co1 0.006 0.006 0.519
Co2 0.325 0.325 0.163
Co3 0.518 0.518 0.878
Co4 0.809 0.809 0.801
H1 0.857 0.857 0.563
```

Top 10 peaks for 15° ≤ 2θ ≤ 90°, in order of rising 2θ:
| two_theta | d_spacing | I_rel |
| --- | --- | --- |
| 26.23 | 3.398 | 67 |
| 27.33 | 3.264 | 100 |
| 28.00 | 3.186 | 42 |
| 28.64 | 3.117 | 94 |
| 29.53 | 3.025 | 40 |
| 32.20 | 2.780 | 27 |
| 42.82 | 2.112 | 30 |
| 44.41 | 2.040 | 52 |
| 48.64 | 1.872 | 23 |
| 50.91 | 1.794 | 24 |


(2)
# Ac8Co3HI4
Theoretical powder diffraction line list, Cu Kα X-rays. Input: a PBE-relaxed structure.

Atomic structure:
```
data_Ac8Co3HI4
_chemical_formula_sum 'Ac8 Co3 H1 I4'
_cell_length_a 9.925
_cell_length_b 9.925
_cell_length_c 9.925
_cell_angle_alpha 50.81
_cell_angle_beta 50.81
_cell_angle_gamma 50.81
_space_group_name_H-M_alt 'P 1'
_space_group_IT_number 1
loop_
_space_group_symop_operation_xyz
'x,y,z'
loop_
_atom_site_label
_atom_site_fract_x
_atom_site_fract_y
_atom_site_fract_z
Ac1 0.221 0.730 0.730
Ac2 0.226 0.226 0.226
Ac3 0.270 0.270 0.779
Ac4 0.270 0.779 0.270
Ac5 0.730 0.221 0.730
Ac6 0.730 0.730 0.221
Ac7 0.774 0.774 0.774
Ac8 0.779 0.270 0.270
Co1 0.000 0.000 0.500
Co2 0.000 0.500 0.000
Co3 0.500 0.000 0.000
H1 0.500 0.500 0.500
I1 0.000 0.000 0.000
I2 0.000 0.500 0.500
I3 0.500 0.000 0.500
I4 0.500 0.500 0.000
```

Top 10 peaks for 15° ≤ 2θ ≤ 90°, in order of rising 2θ:
| two_theta | d_spacing | I_rel |
| --- | --- | --- |
| 25.11 | 3.546 | 27 |
| 27.85 | 3.203 | 100 |
| 29.76 | 3.003 | 39 |
| 31.12 | 2.874 | 22 |
| 34.36 | 2.610 | 17 |
| 36.98 | 2.431 | 20 |
| 42.46 | 2.129 | 42 |
| 51.55 | 1.773 | 18 |
| 53.57 | 1.711 | 29 |
| 68.93 | 1.362 | 15 |